Simulated X-ray powder pattern
Compound: LiHo2PbS
Radiation: Cu Kα (λ = 1.5418 Å)
Structure: a cell relaxed with GGA-PBE

Cell and atoms:
```
LiHo2PbS
1.0
7.532 0.000 0.000
0.000 3.990 0.000
-2.574 0.000 7.674
Li Ho Pb S
2 4 2 2
Cartesian
0.030 0.998 1.089 Li
4.929 2.993 6.586 Li
0.589 2.993 3.993 Ho
2.600 2.993 0.877 Ho
2.358 0.998 6.798 Ho
4.369 0.998 3.681 Ho
-0.748 0.998 6.102 Pb
5.707 2.993 1.572 Pb
1.813 0.998 2.541 S
3.146 2.993 5.133 S
```

Main lines, in order of falling intensity (2θ from 10° to 90°):
- 31.91 deg, 2.805 Å, rel. 100
- 25.16 deg, 3.540 Å, rel. 60
- 32.37 deg, 2.766 Å, rel. 58
- 30.80 deg, 2.903 Å, rel. 58
- 42.54 deg, 2.125 Å, rel. 47
- 33.68 deg, 2.661 Å, rel. 46


Simulated X-ray powder pattern
Compound: LiHoTe3Pb
Radiation: Cu Kα (λ = 1.5418 Å)
Structure: a cell relaxed with GGA-PBE

Cell and atoms:
```
LiHoTe3Pb
1.0
9.080 0.000 0.000
0.000 4.394 0.000
-2.279 0.000 9.429
Li Ho Te Pb
2 2 6 2
Cartesian
0.561 1.099 0.801 Li
6.241 3.296 8.628 Li
2.241 3.296 3.148 Ho
4.561 1.099 6.281 Ho
0.098 1.099 3.524 Te
2.081 3.296 0.100 Te
2.401 3.296 6.255 Te
4.401 1.099 3.175 Te
4.721 1.099 9.329 Te
6.704 3.296 5.905 Te
-0.016 1.099 6.975 Pb
6.818 3.296 2.454 Pb
```

Main lines, in order of falling intensity (2θ from 10° to 90°):
- 28.67 deg, 3.114 Å, rel. 100
- 37.13 deg, 2.421 Å, rel. 37
- 28.40 deg, 3.143 Å, rel. 28
- 20.12 deg, 4.414 Å, rel. 23
- 39.71 deg, 2.270 Å, rel. 20
- 41.08 deg, 2.197 Å, rel. 20


Simulated X-ray powder pattern
Compound: Li2HoPd8
Radiation: Cu Kα (λ = 1.5418 Å)
Structure: a cell relaxed with GGA-PBE

Cell and atoms:
```
Li2HoPd8
1.0
7.096 -2.015 0.000
7.096 2.015 0.000
-1.870 0.000 6.067
Li Ho Pd
2 1 8
Cartesian
2.956 0.000 0.894 Li
9.366 0.000 5.173 Li
6.161 0.000 3.034 Ho
0.258 0.000 1.356 Pd
0.727 0.000 4.262 Pd
3.387 0.000 3.536 Pd
5.673 0.000 0.193 Pd
6.649 0.000 5.875 Pd
8.935 0.000 2.532 Pd
11.595 0.000 1.805 Pd
12.064 0.000 4.711 Pd
```

Main lines, in order of falling intensity (2θ from 10° to 90°):
- 39.15 deg, 2.301 Å, rel. 100
- 39.27 deg, 2.294 Å, rel. 97
- 44.96 deg, 2.016 Å, rel. 67
- 13.06 deg, 6.781 Å, rel. 30
- 46.84 deg, 1.940 Å, rel. 28
- 79.07 deg, 1.211 Å, rel. 26


Simulated X-ray powder pattern
Compound: Li2HoPd5
Radiation: Cu Kα (λ = 1.5418 Å)
Structure: a cell relaxed with GGA-PBE

Cell and atoms:
```
Li2HoPd5
1.0
4.205 0.000 0.000
0.000 4.205 0.000
0.000 0.000 13.945
Li Ho Pd
4 2 10
Cartesian
0.000 0.000 3.475 Li
0.000 0.000 10.470 Li
2.102 2.102 3.498 Li
2.102 2.102 10.448 Li
0.000 0.000 0.000 Ho
2.102 2.102 6.973 Ho
0.000 0.000 6.973 Pd
0.000 2.102 1.968 Pd
0.000 2.102 5.005 Pd
0.000 2.102 8.941 Pd
0.000 2.102 11.977 Pd
2.102 0.000 1.968 Pd
2.102 0.000 5.005 Pd
2.102 0.000 8.941 Pd
2.102 0.000 11.977 Pd
2.102 2.102 0.000 Pd
```

Main lines, in order of falling intensity (2θ from 10° to 90°):
- 39.85 deg, 2.262 Å, rel. 100
- 32.74 deg, 2.735 Å, rel. 45
- 43.02 deg, 2.102 Å, rel. 44
- 76.71 deg, 1.242 Å, rel. 28
- 12.70 deg, 6.973 Å, rel. 26
- 59.27 deg, 1.559 Å, rel. 18


Simulated X-ray powder pattern
Compound: Li2Ho2Pd5
Radiation: Cu Kα (λ = 1.5418 Å)
Structure: a cell relaxed with GGA-PBE

Cell and atoms:
```
Li2Ho2Pd5
1.0
-2.999 7.804 3.272
2.999 -7.804 3.272
2.999 7.804 -3.272
Li Ho Pd
4 4 10
Cartesian
0.000 1.124 0.005 Li
0.000 6.680 0.005 Li
2.999 1.124 3.267 Li
2.999 6.680 3.267 Li
2.999 0.000 0.000 Ho
2.999 3.902 -0.008 Ho
0.000 0.000 3.272 Ho
0.000 3.902 3.280 Ho
1.500 5.812 -1.636 Pd
1.500 -1.992 1.636 Pd
2.999 -3.902 3.266 Pd
1.500 9.809 -1.636 Pd
1.500 2.005 1.636 Pd
-1.500 5.799 1.636 Pd
1.500 5.799 1.636 Pd
0.000 11.706 0.006 Pd
-1.500 9.795 1.636 Pd
1.500 9.795 1.636 Pd
```

Main lines, in order of falling intensity (2θ from 10° to 90°):
- 35.81 deg, 2.507 Å, rel. 100
- 37.83 deg, 2.378 Å, rel. 86
- 40.81 deg, 2.211 Å, rel. 72
- 63.60 deg, 1.463 Å, rel. 36
- 69.77 deg, 1.348 Å, rel. 28
- 20.08 deg, 4.422 Å, rel. 24


Simulated X-ray powder pattern
Compound: LiHoSb2Pd4
Radiation: Cu Kα (λ = 1.5418 Å)
Structure: a cell relaxed with GGA-PBE

Cell and atoms:
```
LiHoSb2Pd4
1.0
2.310 1.334 7.827
-2.310 1.334 7.827
0.000 -2.667 7.827
Li Ho Sb Pd
1 1 2 4
Cartesian
0.000 0.000 0.000 Li
0.000 0.000 11.740 Ho
0.000 0.000 5.969 Sb
0.000 0.000 17.511 Sb
0.000 0.000 2.638 Pd
0.000 0.000 8.738 Pd
0.000 0.000 14.743 Pd
0.000 0.000 20.843 Pd
```

Main lines, in order of falling intensity (2θ from 10° to 90°):
- 38.99 deg, 2.310 Å, rel. 100
- 38.02 deg, 2.367 Å, rel. 95
- 55.60 deg, 1.653 Å, rel. 31
- 69.99 deg, 1.344 Å, rel. 31
- 29.33 deg, 3.046 Å, rel. 19
- 70.63 deg, 1.334 Å, rel. 17


Simulated X-ray powder pattern
Compound: LiPmHoS3
Radiation: Cu Kα (λ = 1.5418 Å)
Structure: a cell relaxed with GGA-PBE

Cell and atoms:
```
LiPmHoS3
1.0
8.082 0.000 0.000
0.000 3.842 0.000
-1.834 0.000 8.206
Li Pm Ho S
2 2 2 6
Cartesian
0.549 0.960 0.692 Li
5.698 2.881 7.514 Li
0.194 0.960 5.924 Pm
6.054 2.881 2.281 Pm
2.107 2.881 2.743 Ho
4.141 0.960 5.462 Ho
0.118 0.960 3.015 S
-0.088 2.881 8.191 S
2.238 2.881 5.504 S
4.009 0.960 2.702 S
6.336 0.960 0.015 S
6.129 2.881 5.191 S
```

Main lines, in order of falling intensity (2θ from 10° to 90°):
- 32.72 deg, 2.737 Å, rel. 100
- 25.60 deg, 3.479 Å, rel. 58
- 32.54 deg, 2.752 Å, rel. 54
- 10.78 deg, 8.206 Å, rel. 48
- 21.66 deg, 4.103 Å, rel. 35
- 42.24 deg, 2.140 Å, rel. 32


Simulated X-ray powder pattern
Compound: Li4PmHo3S8
Radiation: Cu Kα (λ = 1.5418 Å)
Structure: a cell relaxed with GGA-PBE

Cell and atoms:
```
Li4PmHo3S8
1.0
3.929 2.268 6.181
-3.929 2.268 6.181
0.000 -4.536 6.181
Li Pm Ho S
4 1 3 8
Cartesian
0.000 0.000 0.000 Li
-1.964 -1.134 6.181 Li
-1.964 1.134 12.362 Li
0.000 2.268 6.181 Li
0.000 0.000 9.271 Pm
-3.929 0.000 9.271 Ho
-1.964 1.134 3.090 Ho
1.964 1.134 3.090 Ho
-2.006 -1.158 10.827 S
0.000 -2.316 7.716 S
-2.006 1.158 7.716 S
0.000 0.000 4.627 S
0.000 0.000 13.916 S
2.006 -1.158 10.827 S
0.000 2.316 10.827 S
2.006 1.158 7.716 S
```

Main lines, in order of falling intensity (2θ from 10° to 90°):
- 14.33 deg, 6.181 Å, rel. 100
- 32.65 deg, 2.743 Å, rel. 96
- 26.64 deg, 3.346 Å, rel. 72
- 46.22 deg, 1.964 Å, rel. 35
- 35.82 deg, 2.507 Å, rel. 33
- 47.46 deg, 1.916 Å, rel. 32


Simulated X-ray powder pattern
Compound: LiPm2HoTl4
Radiation: Cu Kα (λ = 1.5418 Å)
Structure: a cell relaxed with GGA-PBE

Cell and atoms:
```
LiPm2HoTl4
1.0
2.646 1.528 8.956
-2.646 1.528 8.956
0.000 -3.055 8.956
Li Pm Ho Tl
1 2 1 4
Cartesian
0.000 0.000 0.000 Li
0.000 0.000 6.868 Pm
0.000 0.000 19.999 Pm
0.000 0.000 13.433 Ho
0.000 0.000 3.349 Tl
0.000 0.000 10.046 Tl
0.000 0.000 16.821 Tl
0.000 0.000 23.517 Tl
```

Main lines, in order of falling intensity (2θ from 10° to 90°):
- 33.07 deg, 2.709 Å, rel. 100
- 33.88 deg, 2.646 Å, rel. 96
- 60.10 deg, 1.540 Å, rel. 37
- 48.07 deg, 1.893 Å, rel. 36
- 58.54 deg, 1.577 Å, rel. 19
- 60.61 deg, 1.528 Å, rel. 18


Simulated X-ray powder pattern
Compound: LiPmHoZn
Radiation: Cu Kα (λ = 1.5418 Å)
Structure: a cell relaxed with GGA-PBE

Cell and atoms:
```
LiPmHoZn
1.0
3.659 0.000 0.000
0.000 3.659 0.000
0.000 0.000 7.400
Li Pm Ho Zn
1 1 1 1
Cartesian
0.000 0.000 0.000 Li
1.829 1.829 5.351 Pm
1.829 1.829 1.907 Ho
0.000 0.000 3.539 Zn
```

Main lines, in order of falling intensity (2θ from 10° to 90°):
- 34.48 deg, 2.602 Å, rel. 100
- 34.67 deg, 2.587 Å, rel. 51
- 24.33 deg, 3.659 Å, rel. 46
- 62.02 deg, 1.496 Å, rel. 36
- 24.05 deg, 3.700 Å, rel. 23
- 11.96 deg, 7.400 Å, rel. 22


Simulated X-ray powder pattern
Compound: LiPr4Ho4
Radiation: Cu Kα (λ = 1.5418 Å)
Structure: a cell relaxed with GGA-PBE

Cell and atoms:
```
LiPr4Ho4
1.0
-3.184 3.978 5.778
3.184 -3.978 5.778
3.184 3.978 -5.778
Li Pr Ho
1 4 4
Cartesian
0.000 0.000 0.000 Li
3.184 0.000 0.000 Pr
0.000 2.544 0.000 Pr
0.000 0.000 5.778 Pr
0.000 5.411 0.000 Pr
1.504 -1.091 2.831 Ho
1.679 5.069 -2.947 Ho
1.679 2.887 2.947 Ho
1.504 1.091 8.725 Ho
```

Main lines, in order of falling intensity (2θ from 10° to 90°):
- 27.54 deg, 3.238 Å, rel. 100
- 32.10 deg, 2.789 Å, rel. 80
- 35.37 deg, 2.538 Å, rel. 52
- 30.95 deg, 2.889 Å, rel. 44
- 54.45 deg, 1.685 Å, rel. 23
- 47.70 deg, 1.907 Å, rel. 22


Simulated X-ray powder pattern
Compound: Li2Pr2HoTl2
Radiation: Cu Kα (λ = 1.5418 Å)
Structure: a cell relaxed with GGA-PBE

Cell and atoms:
```
Li2Pr2HoTl2
1.0
2.434 1.406 9.172
-2.434 1.406 9.172
0.000 -2.811 9.172
Li Pr Ho Tl
2 2 1 2
Cartesian
0.000 0.000 3.044 Li
0.000 0.000 24.472 Li
0.000 0.000 10.282 Pr
0.000 0.000 17.235 Pr
0.000 0.000 13.758 Ho
0.000 0.000 6.397 Tl
0.000 0.000 21.119 Tl
```

Main lines, in order of falling intensity (2θ from 10° to 90°):
- 36.92 deg, 2.434 Å, rel. 100
- 31.11 deg, 2.875 Å, rel. 91
- 33.63 deg, 2.665 Å, rel. 88
- 21.32 deg, 4.168 Å, rel. 53
- 63.50 deg, 1.465 Å, rel. 36
- 50.79 deg, 1.797 Å, rel. 28